[1]
Starting from DFT lattice parameters and positions (GGA-PBE), the powder X-ray diffraction pattern of Ac2PrUS8 was computed for Cu Kα (λ = 1.5418 Å).
Lines closer than 0.1° are merged.

Peak list (10 most intense, 2θ from 15° to 90°, sorted by position)
Position (°2θ)	I (rel.)	h k l
22.6	100	1 0 1
22.8	100	0 2 1
26.7	30	1 2 0
37.2	97	1 2 2
37.9	24	2 0 0
38.4	22	0 4 0
43.2	20	1 0 3
43.3	19	0 2 3
44.7	35	2 2 -1
45.0	33	1 4 1

Structural model:
Lattice parameters (Å, degrees): 4.7496 9.3853 7.0088 90.00 90.05 90.00
Positions (direct):
Ac  0.0000  0.2494  0.0000
Ac  0.0000  0.7506  0.0000
Pr  0.5000  0.0000  0.5000
U  0.5000  0.5000  0.5000
S  0.9998  0.0000  0.2558
S  0.0002  0.0000  0.7442
S  0.0001  0.5000  0.2900
S  0.9999  0.5000  0.7100
S  0.5003  0.2758  0.2695
S  0.4997  0.2758  0.7305
S  0.5003  0.7242  0.2695
S  0.4997  0.7242  0.7305


[2]
Starting from DFT lattice parameters and positions (GGA-PBE), the powder X-ray diffraction pattern of Cs4NaBr was computed for Cu Kα (λ = 1.5418 Å).
Lines closer than 0.1° are merged.

Peak list (10 most intense, 2θ from 15° to 90°, sorted by position)
Position (°2θ)	I (rel.)	h k l
19.5	39	2 1 0
20.5	78	2 1 1
21.3	100	1 3 0
21.9	99	1 1 3
22.7	59	0 2 3
23.2	60	2 1 2
27.3	43	1 4 0
33.3	48	3 2 2
36.2	42	0 4 4
37.3	38	4 0 0

Structural model:
Lattice parameters (Å, degrees): 9.6199 13.8944 14.2195 90.00 90.00 90.00
Positions (direct):
Cs  0.1199  0.0292  0.2500
Cs  0.1199  0.4708  0.7500
Cs  0.1485  0.7500  0.0000
Cs  0.1485  0.7500  0.5000
Cs  0.3299  0.0957  0.5804
Cs  0.3299  0.0957  0.9196
Cs  0.3299  0.4043  0.0804
Cs  0.3299  0.4043  0.4196
Cs  0.6701  0.5957  0.5804
Cs  0.6701  0.5957  0.9196
Cs  0.6701  0.9043  0.0804
Cs  0.6701  0.9043  0.4196
Cs  0.8515  0.2500  0.0000
Cs  0.8515  0.2500  0.5000
Cs  0.8801  0.5292  0.2500
Cs  0.8801  0.9708  0.7500
Na  0.4447  0.6724  0.2500
Na  0.4447  0.8276  0.7500
Na  0.5553  0.1724  0.2500
Na  0.5553  0.3276  0.7500
Br  0.0000  0.0000  0.0000
Br  0.0000  0.0000  0.5000
Br  0.0000  0.5000  0.0000
Br  0.0000  0.5000  0.5000